# Tl3Te2WF6
Theoretical powder diffractogram, Cu Kα. Input: a crystal structure in Alexandria, relaxed with GGA+U.

Cell and atoms:
abc: 8.2565 8.2565 5.2755
angles: 95.44 95.44 53.66
Positions (direct):
Tl  0.0000  0.0000  0.0000
Tl  0.0000  0.5000  0.5000
Tl  0.5000  0.0000  0.5000
Te  0.1865  0.1865  0.9774
Te  0.8135  0.8135  0.0226
W  0.5000  0.5000  0.5000
F  0.2475  0.6564  0.7049
F  0.3436  0.7525  0.2951
F  0.3774  0.3774  0.2974
F  0.6226  0.6226  0.7026
F  0.6564  0.2475  0.7049
F  0.7525  0.3436  0.2951

The 10 most intense peaks (5° ≤ 2θ ≤ 70°), by intensity:
2θ = 21.07°, I = 100
2θ = 22.09°, I = 98
2θ = 24.30°, I = 89
2θ = 31.18°, I = 87
2θ = 29.40°, I = 86
2θ = 26.84°, I = 72
2θ = 44.35°, I = 60
2θ = 34.19°, I = 54
2θ = 35.57°, I = 37
2θ = 38.69°, I = 36